Simulated XRD peak list of BePtAu for Cu Kα (weighted mean of Kα1 and Kα2), from a cell relaxed with GGA-PBE.
Peak positions follow from Bragg's law for the DFT cell and can differ from measured ones.

Structure:
```
data_BePtAu
_chemical_formula_sum 'Be2 Pt2 Au2'
_space_group_name_H-M_alt 'I 4 m m'
_space_group_IT_number 107
_space_group_name_Hall 'I 4 -2'
_cell_length_a 2.8535
_cell_length_b 2.8535
_cell_length_c 10.1602
_cell_angle_alpha 90.00
_cell_angle_beta 90.00
_cell_angle_gamma 90.00
loop_
_atom_site_label
_atom_site_fract_x
_atom_site_fract_y
_atom_site_fract_z
_atom_site_occupancy
Be1 0.0000 0.0000 0.0000 1
Pt1 0.0000 0.0000 0.6227 1
Au1 0.0000 0.0000 0.3392 1
```

Principal peaks in the range 15° ≤ 2θ ≤ 90°, sorted by position:
d [Å]	I/Imax
2.747	87
2.540	38
2.182	100
2.018	50
1.580	36
1.427	16
1.294	23
1.266	16
1.244	17
1.194	30